Record 1
This entry pairs a crystal structure of LiBr with its calculated powder diffraction line list. Radiation: Cu Kα. Structure: DFT lattice parameters and positions (PBE).

Lattice parameters (Å, degrees): 4.2016 4.2016 6.7332 90.00 90.00 120.00
Sites, in units of the cell vectors:
Li  0.3333  0.6667  0.0000
Li  0.6667  0.3333  0.5000
Br  0.3333  0.6667  0.3812
Br  0.6667  0.3333  0.8812

Main lines, sorted by position (2θ = 10–90°):
2θ (°), I (rel.)
24.46, 29
26.48, 28
27.87, 100
36.36, 18
43.06, 25
47.60, 26
51.26, 26
52.07, 17
69.80, 14
82.21, 11

***

Record 2
This entry pairs a crystal structure of LiHf2CuPt2 with its calculated powder diffraction line list. Radiation: Cu Kα. Structure: DFT lattice parameters and positions (PBE).

Lattice parameters (Å, degrees): 8.1202 8.1202 8.1202 141.15 55.44 142.04
Sites, in units of the cell vectors:
Li  0.2500  0.2500  0.0000
Li  0.7500  0.7500  0.0000
Hf  0.1707  0.6951  0.8658
Hf  0.3293  0.1951  0.5244
Hf  0.6707  0.8049  0.4756
Hf  0.8293  0.3049  0.1342
Cu  0.2500  0.7500  0.5000
Cu  0.7500  0.2500  0.5000
Pt  0.1398  0.2013  0.3411
Pt  0.3602  0.7013  0.0615
Pt  0.6398  0.2987  0.9385
Pt  0.8602  0.7987  0.6589

Main lines, sorted by position (2θ = 10–90°):
2θ (°), I (rel.)
12.31, 86
24.77, 95
33.17, 63
33.94, 100
37.54, 68
37.94, 91
41.84, 59
42.48, 86
44.80, 56
48.19, 75

***

Record 3
This entry pairs a crystal structure of Dy6GaRh2 with its calculated powder diffraction line list. Radiation: Cu Kα. Structure: DFT lattice parameters and positions (PBE).

Lattice parameters (Å, degrees): 8.4042 8.4042 8.4042 112.81 110.88 104.83
Sites, in units of the cell vectors:
Dy  0.0442  0.2395  0.8048
Dy  0.1783  0.2829  0.4612
Dy  0.1783  0.7171  0.8954
Dy  0.3307  0.0252  0.6945
Dy  0.3307  0.6362  0.3055
Dy  0.4347  0.2395  0.1952
Dy  0.5653  0.7605  0.8048
Dy  0.6693  0.3638  0.6945
Dy  0.6693  0.9748  0.3055
Dy  0.8217  0.2829  0.1046
Dy  0.8217  0.7171  0.5388
Dy  0.9558  0.7605  0.1952
Ga  0.0000  0.0000  0.0000
Ga  0.5000  0.5000  0.0000
Rh  0.1333  0.6333  0.5000
Rh  0.3313  0.0000  0.3313
Rh  0.6687  0.0000  0.6687
Rh  0.8667  0.3667  0.5000

Main lines, sorted by position (2θ = 10–90°):
2θ (°), I (rel.)
30.32, 26
32.06, 100
33.88, 77
34.58, 88
35.31, 77
35.64, 37
38.73, 37
39.24, 32
39.94, 39
60.42, 42